This entry pairs a crystal structure of U6Co12Ge4C with its computed powder XRD pattern. Radiation: Cu Kα, 1.54184 Å. Structure: the PBE geometry in OQMD.
Kinematic intensities with the Lorentz-polarization factor, no thermal factor.

```
data_U6Co12Ge4C
_chemical_formula_sum 'U12 Co24 Ge8 C2'
_space_group_name_H-M_alt 'I m -3 m'
_space_group_IT_number 229
_space_group_name_Hall '-I 4 2 3'
_cell_length_a 8.675
_cell_length_b 8.675
_cell_length_c 8.675
_cell_angle_alpha 90.00
_cell_angle_beta 90.00
_cell_angle_gamma 90.00
loop_
_atom_site_label
_atom_site_type_symbol
_atom_site_fract_x
_atom_site_fract_y
_atom_site_fract_z
U1 U 0.000 0.000 0.279
Co1 Co 0.000 0.351 0.351
Ge1 Ge 0.250 0.250 0.250
C1 C 0.000 0.000 0.000
```

Principal peaks in the range 2θ from 15° to 90°, sorted by position:
2θ/deg  I_rel  h k l
25.15  44  2 1 1
32.64  47  3 1 0
35.86  86  2 2 2
38.84  34  3 2 1
41.65  37  4 0 0
44.30  100  3 3 0
58.26  40  5 2 1
72.24  33  6 2 2